# 1
For Na2CdAsS4, the PBE geometry in Alexandria gives the simulated X-ray diffraction stick pattern in this record (Cu Kα (λ = 1.5418 Å)).

Structure:
```
16
Lattice="-3.721 4.010 5.551 3.721 -4.010 5.551 3.721 4.010 -5.551" Properties=species:S:1:pos:R:3 pbc="T T T"
Na 0.000 0.000 0.000
Na -1.860 2.005 2.776
Na 0.000 4.010 0.000
Na 1.860 2.005 2.776
Cd 3.721 0.000 0.000
Cd 0.000 0.000 5.551
As 1.860 2.005 -2.776
As 1.860 -2.005 2.776
S 3.721 3.765 -2.779
S 3.721 -0.245 2.779
S 1.928 2.005 -0.220
S 5.513 2.005 -0.220
S -1.793 2.005 5.772
S 1.793 2.005 5.772
S 0.000 4.255 2.772
S 0.000 0.245 8.330
```

Peak list (10 most intense, 2θ from 5° to 70°, by angle)
| d/Å | Position (°2θ) | I (rel.) |
| --- | --- | --- |
| 6.501 | 13.62 | 36 |
| 6.181 | 14.33 | 48 |
| 3.364 | 26.50 | 21 |
| 2.776 | 32.25 | 52 |
| 2.727 | 32.84 | 100 |
| 2.005 | 45.23 | 18 |
| 1.945 | 46.69 | 67 |
| 1.860 | 48.96 | 15 |
| 1.625 | 56.63 | 18 |
| 1.545 | 59.86 | 17 |

# 2
For PmNd12Rh7, the PBE geometry in Alexandria gives the simulated X-ray diffraction stick pattern in this record (Cu Kα (λ = 1.5418 Å)).

Structure:
```
20
Lattice="7.267 4.196 3.345 -7.267 4.196 3.345 0.000 -8.391 3.345" Properties=species:S:1:pos:R:3 pbc="T T T"
Pm 0.000 0.000 0.000
Nd -4.486 1.340 3.321
Nd -1.625 -1.610 3.342
Nd 1.082 -4.555 3.321
Nd -3.404 -3.215 6.715
Nd -0.582 2.212 3.342
Nd 2.207 -0.602 3.342
Nd -2.207 0.602 6.694
Nd 0.582 -2.212 6.694
Nd 3.404 3.215 3.321
Nd -1.082 4.555 6.715
Nd 1.625 1.610 6.694
Nd 4.486 -1.340 6.715
Rh -2.315 0.626 1.721
Rh 0.615 -2.318 1.721
Rh 1.699 1.692 1.721
Rh 0.000 0.000 5.018
Rh -1.699 -1.692 8.315
Rh -0.615 2.318 8.315
Rh 2.315 -0.626 8.315
```

Peak list (10 most intense, 2θ from 5° to 70°, by angle)
| d/Å | Position (°2θ) | I (rel.) |
| --- | --- | --- |
| 7.267 | 12.18 | 9 |
| 3.345 | 26.65 | 9 |
| 3.297 | 27.04 | 28 |
| 2.866 | 31.21 | 100 |
| 2.037 | 44.47 | 37 |
| 2.015 | 44.98 | 36 |
| 1.726 | 53.05 | 9 |
| 1.673 | 54.89 | 7 |
| 1.649 | 55.76 | 19 |
| 1.433 | 65.10 | 12 |

# 3
For CePr, the PBE geometry in Alexandria gives the simulated X-ray diffraction stick pattern in this record (Cu Kα (λ = 1.5418 Å)).

Structure:
```
4
Lattice="3.860 0.000 0.000 -1.930 3.343 0.000 0.000 0.000 10.376" Properties=species:S:1:pos:R:3 pbc="T T T"
Ce 0.000 2.229 0.762
Ce 1.930 1.114 9.614
Pr 0.000 2.229 6.670
Pr 1.930 1.114 3.706
```

Peak list (10 most intense, 2θ from 5° to 70°, by angle)
| d/Å | Position (°2θ) | I (rel.) |
| --- | --- | --- |
| 10.376 | 8.52 | 10 |
| 3.459 | 25.76 | 14 |
| 3.343 | 26.67 | 33 |
| 2.810 | 31.84 | 100 |
| 2.404 | 37.41 | 14 |
| 1.930 | 47.08 | 28 |
| 1.763 | 51.86 | 24 |
| 1.685 | 54.44 | 11 |
| 1.591 | 57.97 | 18 |
| 1.548 | 59.72 | 10 |

# 4
For TbDyTh2Rh4, the PBE geometry in Alexandria gives the simulated X-ray diffraction stick pattern in this record (Cu Kα (λ = 1.5418 Å)).

Structure:
```
8
Lattice="0.000 5.583 4.165 3.950 0.000 4.165 3.950 5.583 0.000" Properties=species:S:1:pos:R:3 pbc="T T T"
Tb 0.000 0.000 0.000
Dy 3.950 5.583 4.745
Th 1.975 2.792 1.862
Th 5.925 8.375 6.027
Rh 5.553 5.583 2.355
Rh 3.950 2.950 3.911
Rh 2.347 5.583 2.355
Rh 3.950 8.217 3.911
```

Peak list (10 most intense, 2θ from 5° to 70°, by angle)
| d/Å | Position (°2θ) | I (rel.) |
| --- | --- | --- |
| 3.225 | 27.66 | 18 |
| 2.866 | 31.21 | 100 |
| 2.792 | 32.06 | 59 |
| 2.550 | 35.19 | 36 |
| 2.082 | 43.46 | 17 |
| 2.000 | 45.35 | 70 |
| 1.975 | 45.95 | 18 |
| 1.951 | 46.54 | 18 |
| 1.612 | 57.13 | 20 |
| 1.388 | 67.48 | 16 |